Record 1
Diffraction record for PmSmHoMg. The powder diffraction line list is calculated, not measured: it uses a cell relaxed with PBE and λ = 1.5418 Å (Cu Kα).
Kinematic intensities with the Lorentz-polarization factor, no thermal factor.

Structural model:
```
data_PmSmHoMg
_cell_length_a 3.6531
_cell_length_b 3.6531
_cell_length_c 9.1888
_cell_angle_alpha 90.00
_cell_angle_beta 90.00
_cell_angle_gamma 90.00
_space_group_name_H-M_alt 'P 4 m m'
_space_group_IT_number 99
loop_
_space_group_symop_operation_xyz
'x,y,z'
'-y,x,z'
'-x,-y,z'
'y,-x,z'
'-x,y,z'
'y,x,z'
'x,-y,z'
'-y,-x,z'
loop_
_atom_site_label
_atom_site_type_symbol
_atom_site_fract_x
_atom_site_fract_y
_atom_site_fract_z
Pm1 Pm 0.0000 0.0000 0.0000
Sm1 Sm 0.5000 0.5000 0.7251
Ho1 Ho 0.5000 0.5000 0.2670
Mg1 Mg 0.0000 0.0000 0.4905
```

Top 12 peaks for 10 to 90 degrees two-theta, in order of rising 2θ:
| two_theta | d/Å | I (rel.) | hkl |
| --- | --- | --- | --- |
| 24.37 | 3.653 | 8 | 1 0 0 |
| 26.25 | 3.395 | 18 | 1 0 1 |
| 31.28 | 2.859 | 100 | 1 0 2 |
| 34.73 | 2.583 | 40 | 1 1 0 |
| 39.22 | 2.297 | 12 | 0 0 4 |
| 45.96 | 1.975 | 9 | 1 1 3 |
| 49.93 | 1.827 | 14 | 2 0 0 |
| 53.37 | 1.717 | 19 | 1 1 4 |
| 56.01 | 1.642 | 8 | 1 0 5 |
| 60.11 | 1.539 | 31 | 2 1 2 |
| 65.26 | 1.430 | 11 | 2 0 4 |
| 66.16 | 1.412 | 8 | 1 0 6 |

Record 2
Diffraction record for GdAlPd. The powder diffraction line list is calculated, not measured: it uses a cell relaxed with PBE and λ = 1.5418 Å (Cu Kα).
Kinematic intensities with the Lorentz-polarization factor, no thermal factor.

Structural model:
```
data_GdAlPd
_cell_length_a 7.1324
_cell_length_b 7.1324
_cell_length_c 4.1709
_cell_angle_alpha 90.00
_cell_angle_beta 90.00
_cell_angle_gamma 120.00
_space_group_name_H-M_alt 'P -6 2 m'
_space_group_IT_number 189
_space_group_name_Hall 'P -6 -2'
loop_
_atom_site_label
_atom_site_type_symbol
_atom_site_fract_x
_atom_site_fract_y
_atom_site_fract_z
Gd1 Gd 0.0000 0.5821 0.0000
Al1 Al 0.0000 0.2344 0.5000
Pd1 Pd 0.0000 0.0000 0.0000
Pd2 Pd 0.3333 0.6667 0.5000
```

Top 12 peaks for 10 to 90 degrees two-theta, in order of rising 2θ:
| two_theta | d/Å | I (rel.) | hkl |
| --- | --- | --- | --- |
| 21.30 | 4.171 | 15 | 0 0 1 |
| 24.97 | 3.566 | 29 | 1 1 0 |
| 28.91 | 3.088 | 24 | 2 0 0 |
| 33.05 | 2.711 | 78 | 1 1 1 |
| 36.19 | 2.482 | 100 | 2 0 1 |
| 38.56 | 2.335 | 22 | 2 1 0 |
| 43.39 | 2.085 | 24 | 0 0 2 |
| 43.98 | 2.059 | 22 | 3 0 0 |
| 44.47 | 2.037 | 21 | 2 1 1 |
| 53.49 | 1.713 | 17 | 3 1 0 |
| 58.22 | 1.585 | 24 | 3 1 1 |
| 70.14 | 1.342 | 19 | 3 2 1 |

Record 3
Diffraction record for InPRu. The powder diffraction line list is calculated, not measured: it uses a cell relaxed with PBE and λ = 1.5418 Å (Cu Kα).
Kinematic intensities with the Lorentz-polarization factor, no thermal factor.

Structural model:
```
data_InPRu
_cell_length_a 2.9711
_cell_length_b 2.9711
_cell_length_c 5.8721
_cell_angle_alpha 90.00
_cell_angle_beta 90.00
_cell_angle_gamma 90.00
_space_group_name_H-M_alt 'P 4 m m'
_space_group_IT_number 99
loop_
_space_group_symop_operation_xyz
'x,y,z'
'-y,x,z'
'-x,-y,z'
'y,-x,z'
'-x,y,z'
'y,x,z'
'x,-y,z'
'-y,-x,z'
loop_
_atom_site_label
_atom_site_type_symbol
_atom_site_fract_x
_atom_site_fract_y
_atom_site_fract_z
In1 In 0.0000 0.0000 0.0000
P1 P 0.0000 0.0000 0.5545
Ru1 Ru 0.5000 0.5000 0.3535
```

Top 12 peaks for 10 to 90 degrees two-theta, in order of rising 2θ:
| two_theta | d/Å | I (rel.) | hkl |
| --- | --- | --- | --- |
| 15.09 | 5.872 | 32 | 0 0 1 |
| 30.45 | 2.936 | 20 | 0 0 2 |
| 33.81 | 2.651 | 100 | 1 0 1 |
| 43.06 | 2.101 | 51 | 1 1 0 |
| 43.33 | 2.088 | 67 | 1 0 2 |
| 46.39 | 1.957 | 13 | 0 0 3 |
| 53.64 | 1.709 | 16 | 1 1 2 |
| 62.52 | 1.486 | 16 | 2 0 0 |
| 65.14 | 1.432 | 18 | 1 1 3 |
| 71.71 | 1.316 | 15 | 1 0 4 |
| 73.01 | 1.296 | 20 | 2 1 1 |
| 79.11 | 1.211 | 22 | 2 1 2 |